For Ti3InO, a cell relaxed with PBE gives the calculated powder diffractogram in this record (Cu Kα (λ = 1.5418 Å)).
No peak broadening, texture or thermal motion is included.

Unit cell a=5.801 b=5.499 c=4.882 alpha=90.00 beta=90.00 gamma=90.00
Space group Pmn2_1 (No. 31)
Symmetry-distinct sites (fractional):
Ti1 0.000 0.149 0.000 (multiplicity 2)
Ti2 0.246 0.633 0.034 (multiplicity 4)
In1 0.000 0.871 0.526 (multiplicity 2)
O1 0.000 0.434 0.245 (multiplicity 2)

Largest 10 diffraction maxima, in order of rising 2θ, 2θ from 10° to 90°:
2theta  I_rel  hkl
23.82  21  1 0 1
28.89  23  1 1 1
34.98  47  2 1 0
36.82  48  0 0 2
37.54  100  0 2 1
39.69  99  2 1 1
51.69  39  2 1 2
66.79  17  0 2 3
68.23  24  0 4 0
76.84  21  4 2 1



For Ti7In2O2, a cell relaxed with PBE gives the calculated powder diffractogram in this record (Cu Kα (λ = 1.5418 Å)).
No peak broadening, texture or thermal motion is included.

Unit cell a=7.521 b=9.076 c=5.591 alpha=90.00 beta=95.69 gamma=90.00
Space group C2/m (No. 12)
Symmetry-distinct sites (fractional):
Ti1 0.000 0.000 0.000 (multiplicity 2)
Ti2 0.147 0.500 0.670 (multiplicity 4)
Ti3 0.157 0.337 0.176 (multiplicity 8)
In1 0.000 0.162 0.500 (multiplicity 4)
O1 0.246 0.500 0.005 (multiplicity 4)

Largest 10 diffraction maxima, in order of rising 2θ, 2θ from 10° to 90°:
2theta  I_rel  hkl
15.93  13  0 0 1
30.08  25  2 0 1
35.30  100  1 3 -1
36.13  26  2 2 1
36.93  37  1 1 2
37.39  35  3 1 0
38.36  34  2 0 -2
46.84  12  1 3 2
50.61  15  2 4 1
67.38  14  3 3 -3



For Ti3InO, a cell relaxed with PBE gives the calculated powder diffractogram in this record (Cu Kα (λ = 1.5418 Å)).
No peak broadening, texture or thermal motion is included.

Unit cell a=10.149 b=3.932 c=8.503 alpha=90.00 beta=113.50 gamma=90.00
Space group C2/m (No. 12)
Symmetry-distinct sites (fractional):
Ti1 0.134 0.000 0.451 (multiplicity 4)
Ti2 0.140 0.000 0.940 (multiplicity 4)
Ti3 0.147 0.500 0.701 (multiplicity 4)
In1 0.111 0.500 0.185 (multiplicity 4)
O1 0.085 0.000 0.674 (multiplicity 4)

Largest 10 diffraction maxima, in order of rising 2θ, 2θ from 10° to 90°:
2theta  I_rel  hkl
25.46  28  1 1 -1
36.38  100  1 1 2
36.89  97  3 1 -2
38.70  45  4 0 0
42.54  41  2 0 -4
46.17  32  0 2 0
59.55  17  6 0 -4
61.77  21  4 2 0
64.57  21  2 2 -4
69.18  14  7 1 -2